Entry 1:
For Sr4MgCr2S2O6, a crystal structure in the Materials Project, relaxed with GGA+U gives the simulated XRD peak list in this record (Cu Ka).
Neutral-atom scattering factors, no anomalous dispersion.

Peak list (8 most intense, 2θ from 5° to 70°, low angle first)
2θ 5.6, I = 60, hkl 0 0 1
2θ 11.1, I = 21, hkl 0 0 2
2θ 31.9, I = 100, hkl 1 0 4
2θ 32.1, I = 55, hkl 1 1 0
2θ 41.0, I = 21, hkl 1 0 6
2θ 46.0, I = 37, hkl 2 0 0
2θ 56.8, I = 12, hkl 1 1 8
2θ 57.1, I = 40, hkl 2 1 4

Structure:
Cell lengths 3.9469, 3.9469, 15.9183 Å; angles 90.00, 90.00, 90.00 degrees
Space group P-4m2 (No. 115)
Unique sites:
Sr 0.0000 0.5000 0.0856 x2
Sr 0.0000 0.5000 0.3087 x2
Mg 0.0000 0.0000 0.5000 x1
Cr 0.0000 0.5000 0.8105 x2
S 0.0000 0.5000 0.5967 x2
O 0.0000 0.0000 0.2083 x2
O 0.0000 0.5000 0.9314 x2
O 0.5000 0.5000 0.2074 x2



Entry 2:
For Li9Mn2Co5O16, a crystal structure in the Materials Project, relaxed with GGA+U gives the simulated XRD peak list in this record (Cu Ka).
Neutral-atom scattering factors, no anomalous dispersion.

Peak list (8 most intense, 2θ from 5° to 70°, low angle first)
2θ 18.2, I = 100, hkl 1 0 -2
2θ 35.0, I = 15, hkl 3 0 2
2θ 36.1, I = 25, hkl 2 1 0
2θ 42.3, I = 27, hkl 2 0 4
2θ 43.8, I = 53, hkl 3 1 -2
2θ 57.6, I = 10, hkl 4 1 -4
2θ 62.4, I = 14, hkl 1 1 -6
2θ 62.6, I = 14, hkl 5 1 2

Structure:
Cell lengths 9.8057, 2.9029, 10.4023 Å; angles 90.00, 98.90, 90.00 degrees
Space group Pm (No. 6)
Unique sites:
Li 0.0000 0.0000 0.0000 x1
Li 0.0007 0.0000 0.4912 x1
Li 0.2582 0.5000 0.6142 x1
Li 0.2596 0.5000 0.1360 x1
Li 0.5039 0.5000 0.4954 x1
Li 0.5049 0.0000 0.7326 x1
Li 0.5100 0.0000 0.2576 x1
Li 0.7445 0.5000 0.8663 x1
Li 0.7514 0.5000 0.3650 x1
Mn 0.2573 0.0000 0.8713 x1
Mn 0.9975 0.5000 0.7419 x1
Co 0.0108 0.5000 0.2430 x1
Co 0.2702 0.0000 0.3892 x1
Co 0.5080 0.5000 0.0036 x1
Co 0.7328 0.0000 0.6012 x1
Co 0.7578 0.0000 0.1225 x1
O 0.1074 0.0000 0.6841 x1
O 0.1208 0.0000 0.1829 x1
O 0.1317 0.5000 0.9111 x1
O 0.1391 0.5000 0.4204 x1
O 0.3663 0.5000 0.3168 x1
O 0.3687 0.0000 0.5515 x1
O 0.3706 0.5000 0.8169 x1
O 0.3895 0.0000 0.0576 x1
O 0.6235 0.0000 0.9443 x1
O 0.6378 0.5000 0.1777 x1
O 0.6402 0.0000 0.4396 x1
O 0.6398 0.5000 0.6806 x1
O 0.8730 0.5000 0.0647 x1
O 0.8787 0.5000 0.5787 x1
O 0.8893 0.0000 0.3000 x1
O 0.8959 0.0000 0.8058 x1